Diffraction record for PmSb2Pt. The powder XRD pattern is theoretical, not measured: it uses DFT lattice parameters and positions (PBE) and Cu Ka.

Principal peaks in the range 10 to 80 degrees two-theta, by angle:
2θ 21.4, 4.161 Å, I 2; 2θ 26.6, 3.354 Å, I 3; 2θ 34.3, 2.611 Å, I 100; 2θ 37.9, 2.371 Å, I 38; 2θ 43.5, 2.081 Å, I 13; 2θ 54.7, 1.677 Å, I 13; 2θ 59.1, 1.564 Å, I 21; 2θ 66.2, 1.411 Å, I 30; 2θ 72.4, 1.306 Å, I 11; 2θ 73.9, 1.282 Å, I 11

Atomic structure:
```
data_PmSb2Pt
_cell_length_a 4.7427
_cell_length_b 4.7427
_cell_length_c 4.1612
_cell_angle_alpha 90.00
_cell_angle_beta 90.00
_cell_angle_gamma 90.00
_symmetry_space_group_name_H-M 'P 4/m m m'
_symmetry_Int_Tables_number 123
_symmetry_space_group_name_Hall '-P 4 2'
loop_
_atom_site_label
_atom_site_type_symbol
_atom_site_fract_x
_atom_site_fract_y
_atom_site_fract_z
Pm1 Pm 0.0000 0.0000 0.0000
Sb1 Sb 0.0000 0.5000 0.5000
Pt1 Pt 0.5000 0.5000 0.0000
```